1.
This entry pairs a crystal structure of NaFe2P2HO8 with its theoretical powder diffraction line list. Radiation: Cu Kα. Structure: a cell relaxed with GGA+U.

Crystal structure
```
NaFe2P2HO8
1.0
5.255 0.000 0.000
-2.284 8.617 0.000
-1.626 -1.225 8.797
Na Fe P H O
2 4 4 2 16
Cartesian
-0.688 2.442 2.830
2.033 4.950 5.967
-1.219 7.485 0.992
-0.628 2.470 6.564
1.974 4.922 2.232
2.565 -0.093 7.804
-0.609 5.772 3.696
1.448 2.081 0.575
-0.102 5.311 8.222
1.955 1.620 5.101
-0.631 6.515 5.769
1.977 0.877 3.028
-1.483 4.647 3.104
-0.907 0.990 7.979
0.801 0.854 1.299
-1.214 5.982 5.180
-1.620 5.492 8.411
-0.733 7.076 2.911
0.494 2.078 4.916
1.116 3.322 1.423
0.229 4.070 7.374
0.852 5.314 3.880
2.078 0.316 5.886
2.965 1.900 0.386
2.559 1.410 3.617
0.545 6.538 7.498
2.253 6.402 0.818
2.828 2.745 5.693
```

The 6 most intense peaks (10 to 80 degrees two-theta), most intense first:
2θ 15.4, d = 5.742 Å, I = 1000; 2θ 19.5, d = 4.555 Å, I = 981; 2θ 28.9, d = 3.090 Å, I = 699; 2θ 27.0, d = 3.298 Å, I = 576; 2θ 20.8, d = 4.267 Å, I = 548; 2θ 31.2, d = 2.868 Å, I = 544

***

2.
This entry pairs a crystal structure of LiVF4 with its theoretical powder diffraction line list. Radiation: Cu Kα. Structure: a cell relaxed with GGA+U.

Crystal structure
```
LiVF4
1.0
7.556 0.000 0.000
0.000 10.605 0.000
0.000 0.000 7.694
Li V F
8 8 32
Cartesian
0.000 2.479 0.000
0.000 2.571 4.506
0.000 7.826 2.494
0.000 7.881 6.013
3.778 2.723 2.166
3.778 2.779 6.341
3.778 8.034 0.659
3.778 8.126 3.847
1.871 10.560 1.746
1.892 5.259 3.637
1.886 5.346 7.484
1.907 0.044 5.593
5.649 0.044 5.593
5.664 5.259 3.637
5.670 5.346 7.484
5.685 10.560 1.746
0.000 4.483 4.005
0.000 4.550 7.213
0.000 9.706 1.598
0.000 9.879 5.879
1.267 7.052 3.788
1.295 1.698 1.321
1.296 1.858 5.819
1.358 7.152 7.197
1.465 5.443 1.704
1.476 0.255 3.654
2.302 10.349 7.501
2.313 5.162 5.551
2.420 3.453 3.350
2.482 8.747 1.972
2.483 8.906 5.168
2.511 3.553 7.635
3.778 0.726 2.032
3.778 0.899 5.445
3.778 6.055 3.367
3.778 6.121 0.158
5.045 3.553 7.635
5.073 8.906 5.168
5.074 8.747 1.972
5.136 3.453 3.350
5.243 5.162 5.551
5.254 10.349 7.501
6.080 0.255 3.654
6.091 5.443 1.704
6.198 7.152 7.197
6.260 1.858 5.819
6.261 1.698 1.321
6.289 7.052 3.788
```

The 6 most intense peaks (10 to 80 degrees two-theta), most intense first:
2θ 24.6, d = 3.616 Å, I = 1000; 2θ 16.7, d = 5.302 Å, I = 980; 2θ 23.5, d = 3.778 Å, I = 566; 2θ 29.0, d = 3.077 Å, I = 345; 2θ 57.6, d = 1.601 Å, I = 201; 2θ 47.3, d = 1.923 Å, I = 194

***

3.
This entry pairs a crystal structure of Li3Mn2CoO6 with its theoretical powder diffraction line list. Radiation: Cu Kα. Structure: a cell relaxed with GGA+U.

Crystal structure
```
Li3Mn2CoO6
1.0
2.644 -4.346 0.000
2.644 4.346 0.000
-1.159 0.000 9.748
Li Mn Co O
6 4 2 12
Cartesian
0.452 1.452 7.309
0.892 0.000 2.379
0.315 -1.441 7.256
3.677 1.452 2.439
3.237 0.000 7.370
3.814 -1.441 2.493
2.064 4.321 4.874
2.644 2.926 0.000
2.644 0.036 0.000
2.064 -1.473 4.874
2.064 1.450 4.874
2.644 -2.891 0.000
1.305 2.987 6.024
-0.403 -0.078 8.601
1.944 1.483 1.129
2.824 2.987 3.724
1.106 -0.064 5.912
2.185 1.483 8.619
1.691 -1.388 1.033
3.023 -0.064 3.836
1.350 -2.925 5.996
2.438 -1.388 8.716
4.532 -0.078 1.147
2.779 -2.925 3.753
```

The 6 most intense peaks (10 to 80 degrees two-theta), most intense first:
2θ 18.2, d = 4.874 Å, I = 1000; 2θ 44.0, d = 2.057 Å, I = 488; 2θ 40.9, d = 2.205 Å, I = 299; 2θ 61.7, d = 1.504 Å, I = 289; 2θ 36.1, d = 2.490 Å, I = 263; 2θ 34.2, d = 2.625 Å, I = 160